# 1
Computed X-ray powder pattern of Li5Sm4Pt6 for CuKα, from a crystal structure in Alexandria, relaxed with PBE.

Most intense lines, 10° ≤ 2θ ≤ 80°, low angle first:
d (Å), two_theta, I_rel
3.503, 25.4, 41
3.390, 26.3, 63
3.260, 27.4, 43
2.997, 29.8, 68
2.861, 31.3, 98
2.731, 32.8, 99
2.670, 33.6, 48
2.480, 36.2, 100
2.039, 44.4, 71
1.821, 50.1, 51

Atomic structure:
Unit cell a=10.225 b=10.225 c=14.958 alpha=90.00 beta=90.00 gamma=156.99
Positions (direct):
1 Li 0.064 0.936 0.500
2 Li 0.144 0.856 0.820
3 Li 0.163 0.837 0.089
4 Li 0.197 0.803 0.441
5 Li 0.344 0.656 0.456
6 Li 0.656 0.344 0.956
7 Li 0.803 0.197 0.941
8 Li 0.837 0.163 0.589
9 Li 0.856 0.144 0.320
10 Li 0.936 0.064 0.000
11 Sm 0.314 0.686 0.766
12 Sm 0.338 0.662 0.132
13 Sm 0.468 0.532 0.601
14 Sm 0.493 0.507 0.339
15 Sm 0.507 0.493 0.839
16 Sm 0.532 0.468 0.101
17 Sm 0.662 0.338 0.632
18 Sm 0.686 0.314 0.266
19 Pt 0.057 0.943 0.687
20 Pt 0.066 0.934 0.962
21 Pt 0.080 0.920 0.238
22 Pt 0.261 0.739 0.589
23 Pt 0.282 0.718 0.309
24 Pt 0.384 0.616 0.939
25 Pt 0.616 0.384 0.439
26 Pt 0.718 0.282 0.809
27 Pt 0.739 0.261 0.089
28 Pt 0.920 0.080 0.738
29 Pt 0.934 0.066 0.462
30 Pt 0.943 0.057 0.187

# 2
Computed X-ray powder pattern of Li3Sm2Pt4 for CuKα, from a crystal structure in Alexandria, relaxed with PBE.

Most intense lines, 10° ≤ 2θ ≤ 80°, low angle first:
d (Å), two_theta, I_rel
3.409, 26.1, 95
3.352, 26.6, 55
3.339, 26.7, 36
2.668, 33.6, 49
2.611, 34.3, 46
2.487, 36.1, 96
2.472, 36.3, 65
2.417, 37.2, 74
2.255, 40.0, 100
1.545, 59.9, 41

Atomic structure:
Unit cell a=7.957 b=7.957 c=7.666 alpha=90.00 beta=90.00 gamma=138.98
Positions (direct):
1 Li 0.000 0.000 0.000
2 Li 0.032 0.468 0.250
3 Li 0.468 0.032 0.750
4 Li 0.500 0.500 0.500
5 Li 0.532 0.968 0.250
6 Li 0.968 0.532 0.750
7 Sm 0.114 0.886 0.413
8 Sm 0.386 0.614 0.913
9 Sm 0.614 0.386 0.087
10 Sm 0.886 0.114 0.587
11 Pt 0.179 0.821 0.032
12 Pt 0.200 0.300 0.250
13 Pt 0.300 0.200 0.750
14 Pt 0.321 0.679 0.532
15 Pt 0.679 0.321 0.468
16 Pt 0.700 0.800 0.250
17 Pt 0.800 0.700 0.750
18 Pt 0.821 0.179 0.968